For La4BePt, the GGA-PBE geometry in Alexandria gives the simulated X-ray diffraction stick pattern in this record (Cu Kα, 1.54184 Å).
Intensities are scaled so that the largest is 100.

Structural model:
Cell lengths 8.8129, 8.8129, 8.8129 Å; angles 90.00, 90.00, 90.00 degrees
Space group F-43m (No. 216)
One atom of each set of equivalent atoms:
La 0.1244 0.1244 0.1244 (multiplicity 16)
Be 0.0000 0.0000 0.5000 (multiplicity 4)
Pt 0.2500 0.2500 0.7500 (multiplicity 4)

Largest 10 diffraction maxima, in order of rising 2θ, 5° ≤ 2θ ≤ 70°:
Position (°2θ)	Rel. int.	index
17.4	32	1 1 1
20.2	15	2 0 0
28.6	16	2 2 0
33.7	100	3 1 1
35.3	52	2 2 2
41.0	9	4 0 0
44.8	8	3 3 1
46.1	8	4 2 0
54.1	35	3 3 3
59.3	29	4 4 0